1.
Structure and calculated PXRD pattern of NbBr5 (a DFT-relaxed cell (PBE, Alexandria); Cu Kα, 1.54184 Å).
Lines closer than 0.1° are merged.

Structure:
a b c (Å): 13.8715 19.5737 6.6106
angles (deg): 90.00 90.00 90.00
Space group Pnma (No. 62)
Unique sites:
Nb  0.1247  0.1411  0.0072
Br  0.0212  0.6530  0.2111
Br  0.0445  0.0641  0.2450
Br  0.0520  0.2500  0.2208
Br  0.1972  0.2500  0.7931
Br  0.2048  0.0636  0.7703
Br  0.2292  0.6532  0.7244

Largest 8 diffraction maxima, sorted by position, 5° ≤ 2θ ≤ 70°:
d = 6.537 Å, I = 42, (2 1 0); d = 5.968 Å, I = 23, (1 0 1); d = 5.708 Å, I = 25, (1 1 1); d = 3.305 Å, I = 23, (0 0 2); d = 3.071 Å, I = 41, (4 0 1); d = 3.030 Å, I = 100, (2 5 1); d = 2.373 Å, I = 27, (2 5 2); d = 1.991 Å, I = 24, (6 5 0)

2.
Structure and calculated PXRD pattern of MnCd4S5 (a DFT-relaxed cell (PBE, Alexandria); Cu Kα, 1.54184 Å).
Lines closer than 0.1° are merged.

Structure:
a b c (Å): 25.4316 4.1530 9.8421
angles (deg): 90.00 104.68 90.00
Space group Cm (No. 8)
Unique sites:
Mn  0.0000  0.0000  0.0000
Mn  0.1996  0.0000  0.6018
Cd  0.0689  0.5000  0.3682
Cd  0.1002  0.5000  0.7986
Cd  0.1653  0.0000  0.1689
Cd  0.2665  0.5000  0.9628
Cd  0.2980  0.5000  0.4005
Cd  0.3679  0.0000  0.7719
Cd  0.4021  0.0000  0.1990
Cd  0.4673  0.5000  0.5714
S  0.0412  0.0000  0.8037
S  0.0710  0.0000  0.2165
S  0.1470  0.5000  0.5942
S  0.1757  0.5000  0.0278
S  0.2387  0.0000  0.4026
S  0.2723  0.0000  0.8148
S  0.3420  0.5000  0.1920
S  0.3748  0.5000  0.6267
S  0.4478  0.0000  0.9934
S  0.4770  0.0000  0.4293

Largest 8 diffraction maxima, sorted by position, 5° ≤ 2θ ≤ 70°:
d = 3.593 Å, I = 65, (3 1 -1); d = 3.373 Å, I = 45, (4 0 2); d = 3.171 Å, I = 100, (8 0 -1); d = 2.459 Å, I = 30, (1 1 3); d = 2.074 Å, I = 52, (0 2 0); d = 1.907 Å, I = 27, (9 1 2); d = 1.905 Å, I = 26, (0 0 5); d = 1.768 Å, I = 26, (4 2 2)

3.
Structure and calculated PXRD pattern of RbTa2Tc (a DFT-relaxed cell (PBE, Alexandria); Cu Kα, 1.54184 Å).
Lines closer than 0.1° are merged.

Structure:
a b c (Å): 6.7634 6.7634 6.7634
angles (deg): 90.00 90.00 90.00
Space group Fm-3m (No. 225)
Unique sites:
Rb  0.0000  0.0000  0.0000
Ta  0.2500  0.2500  0.2500
Tc  0.0000  0.0000  0.5000

Largest 6 diffraction maxima, sorted by position, 5° ≤ 2θ ≤ 70°:
d = 3.382 Å, I = 12, (2 0 0); d = 2.391 Å, I = 100, (2 2 0); d = 1.952 Å, I = 4, (2 2 2); d = 1.691 Å, I = 17, (4 0 0); d = 1.512 Å, I = 5, (4 2 0); d = 1.381 Å, I = 35, (4 2 2)

4.
Structure and calculated PXRD pattern of PrPaPd2O8 (a DFT-relaxed cell (PBE, Alexandria); Cu Kα, 1.54184 Å).
Lines closer than 0.1° are merged.

Structure:
a b c (Å): 5.5422 5.5422 10.6333
angles (deg): 90.00 90.00 90.00
Space group I-4 (No. 82)
Unique sites:
Pr  0.0000  0.0000  0.0000
Pa  0.0000  0.5000  0.7500
Pd  0.0000  0.0000  0.5000
Pd  0.0000  0.5000  0.2500
O  0.1137  0.3183  0.5521
O  0.1678  0.8077  0.2064

Largest 8 diffraction maxima, sorted by position, 5° ≤ 2θ ≤ 70°:
d = 4.915 Å, I = 15, (1 0 1); d = 3.155 Å, I = 100, (1 1 2); d = 2.771 Å, I = 31, (2 0 0); d = 2.658 Å, I = 20, (0 0 4); d = 1.959 Å, I = 15, (2 2 0); d = 1.918 Å, I = 25, (2 0 4); d = 1.664 Å, I = 39, (1 3 2); d = 1.615 Å, I = 17, (1 1 6)

5.
Structure and calculated PXRD pattern of Ca2Pr3Tl4 (a DFT-relaxed cell (PBE, Alexandria); Cu Kα, 1.54184 Å).
Lines closer than 0.1° are merged.

Structure:
a b c (Å): 7.5220 16.5490 9.7487
angles (deg): 90.00 90.00 90.00
Space group Cmce (No. 64)
Unique sites:
Ca  0.0000  0.1084  0.0640
Pr  0.0000  0.0000  0.5000
Pr  0.2500  0.2159  0.7500
Tl  0.0000  0.1915  0.4700
Tl  0.2500  0.0219  0.7500

Largest 8 diffraction maxima, sorted by position, 5° ≤ 2θ ≤ 70°:
d = 5.604 Å, I = 28, (1 1 1); d = 4.137 Å, I = 29, (0 4 0); d = 2.978 Å, I = 100, (2 0 2); d = 2.893 Å, I = 42, (1 5 1); d = 2.437 Å, I = 23, (0 0 4); d = 2.417 Å, I = 31, (2 4 2); d = 2.168 Å, I = 19, (2 6 1); d = 2.101 Å, I = 23, (0 4 4)

6.
Structure and calculated PXRD pattern of US6Cl2 (a DFT-relaxed cell (PBE, Alexandria); Cu Kα, 1.54184 Å).
Lines closer than 0.1° are merged.

Structure:
a b c (Å): 4.6472 7.9460 7.9800
angles (deg): 114.94 91.81 91.55
Space group P1 (No. 1)
Unique sites:
U  0.0000  0.0000  0.0000
S  0.0203  0.8641  0.6312
S  0.0208  0.6293  0.8620
S  0.2552  0.3007  0.3001
S  0.7460  0.6995  0.6991
S  0.9796  0.3706  0.1373
S  0.9818  0.1367  0.3691
Cl  0.4999  0.1217  0.8797
Cl  0.5013  0.8783  0.1199

Largest 8 diffraction maxima, sorted by position, 5° ≤ 2θ ≤ 70°:
d = 7.213 Å, I = 100, (0 0 1); d = 6.713 Å, I = 67, (0 1 -1); d = 4.640 Å, I = 24, (1 0 0); d = 3.987 Å, I = 19, (1 -1 0); d = 3.818 Å, I = 24, (1 1 -1); d = 2.788 Å, I = 28, (0 1 2); d = 2.322 Å, I = 13, (1 -3 1); d = 2.263 Å, I = 25, (1 3 -1)

7.
Structure and calculated PXRD pattern of Nd7CS5 (a DFT-relaxed cell (PBE, Alexandria); Cu Kα, 1.54184 Å).
Lines closer than 0.1° are merged.

Structure:
a b c (Å): 13.4056 3.9072 24.2757
angles (deg): 90.00 90.02 90.00
Space group Cm (No. 8)
Unique sites:
Nd  0.0000  0.0000  0.0000
Nd  0.9998  0.0000  0.1385
Nd  0.0549  0.5000  0.8594
Nd  0.0716  0.5000  0.2837
Nd  0.1066  0.0000  0.7025
Nd  0.1319  0.0000  0.4246
Nd  0.1471  0.5000  0.5723
Nd  0.2573  0.5000  0.0724
Nd  0.2729  0.0000  0.9245
Nd  0.2977  0.0000  0.2026
Nd  0.3330  0.5000  0.7836
Nd  0.3498  0.5000  0.3595
Nd  0.4049  0.0000  0.5001
Nd  0.4045  0.0000  0.6384
C  0.0281  0.0000  0.6058
C  0.3761  0.0000  0.1060
S  0.1405  0.5000  0.9678
S  0.1517  0.5000  0.1740
S  0.1904  0.0000  0.8170
S  0.2142  0.0000  0.3172
S  0.2527  0.5000  0.6739
S  0.2644  0.5000  0.4679
S  0.4160  0.5000  0.8932
S  0.4316  0.5000  0.2479
S  0.4730  0.0000  0.7479
S  0.4888  0.0000  0.3933

Largest 8 diffraction maxima, sorted by position, 5° ≤ 2θ ≤ 70°:
d = 3.403 Å, I = 45, (1 1 3); d = 3.320 Å, I = 47, (4 0 1); d = 3.191 Å, I = 57, (1 1 4); d = 3.080 Å, I = 100, (2 0 7); d = 2.859 Å, I = 75, (3 1 2); d = 2.764 Å, I = 100, (2 0 8); d = 2.038 Å, I = 34, (1 1 -10); d = 1.954 Å, I = 35, (0 2 0)

8.
Structure and calculated PXRD pattern of Cs2MgTl5 (a DFT-relaxed cell (PBE, Alexandria); Cu Kα, 1.54184 Å).
Lines closer than 0.1° are merged.

Structure:
a b c (Å): 5.6000 5.6000 18.3539
angles (deg): 90.00 90.00 90.00
Space group I4/mmm (No. 139)
Unique sites:
Cs  0.0000  0.0000  0.2500
Mg  0.0000  0.0000  0.0000
Tl  0.0000  0.0000  0.5000
Tl  0.0000  0.5000  0.0944

Largest 8 diffraction maxima, sorted by position, 5° ≤ 2θ ≤ 70°:
d = 9.177 Å, I = 20, (0 0 2); d = 3.636 Å, I = 16, (1 1 2); d = 2.998 Å, I = 100, (1 1 4); d = 2.800 Å, I = 61, (2 0 0); d = 2.421 Å, I = 24, (1 1 6); d = 2.066 Å, I = 20, (2 0 6); d = 1.980 Å, I = 23, (2 2 0); d = 1.652 Å, I = 35, (3 1 4)